The following is a simulated PXRD pattern of Y3PuPt8. It was derived from a PBE-relaxed structure, using Cu Kα (weighted mean of Kα1 and Kα2).
Intensities are scaled so that the largest is 1000.

Crystal structure
Cell lengths 5.4582, 5.4582, 8.8971 Å; angles 90.00, 90.00, 120.00 degrees
Space group P3m1 (No. 156)
One atom of each set of equivalent atoms:
Y 0.0000 0.0000 0.0000
Y 0.0000 0.0000 0.3711
Y 0.3333 0.6667 0.8655
Pu 0.3333 0.6667 0.4946
Pt 0.0047 0.5023 0.1820
Pt 0.3287 0.1643 0.6838
Pt 0.6667 0.3333 0.4334
Pt 0.6667 0.3333 0.9324

The 10 most intense peaks (2θ = 10–90°), by angle:
| hkl | d [Å] | 2θ (°) | I (rel.) |
| --- | --- | --- | --- |
| 1 0 0 | 4.727 | 18.8 | 242 |
| 0 1 3 | 2.512 | 35.7 | 543 |
| 1 1 2 | 2.326 | 38.7 | 963 |
| 2 0 1 | 2.284 | 39.4 | 1000 |
| 0 0 4 | 2.224 | 40.6 | 261 |
| 0 2 2 | 2.087 | 43.4 | 351 |
| 1 2 3 | 1.530 | 60.5 | 217 |
| 0 3 2 | 1.485 | 62.5 | 240 |
| 0 2 5 | 1.422 | 65.7 | 319 |
| 2 2 0 | 1.365 | 68.8 | 297 |